For UCr3Cl2O6, the PBE+U geometry in Alexandria gives the computed powder diffraction line list in this record (Cu Kα, 1.54184 Å).

Structural model:
```
UCr3Cl2O6
1.0
5.548 -3.062 0.000
5.548 3.062 0.000
-1.697 0.000 5.188
U Cr Cl O
1 3 2 6
Direct
0.000 0.000 0.000
0.000 0.500 0.000
0.500 0.000 0.000
0.500 0.500 0.500
0.290 0.290 0.705
0.710 0.710 0.295
0.187 0.691 0.206
0.200 0.200 0.173
0.309 0.813 0.794
0.691 0.187 0.206
0.800 0.800 0.827
0.813 0.309 0.794
```

Largest 10 diffraction maxima, by angle, 2θ from 10° to 80°:
| d_spacing | Position (°2θ) | I (rel.) |
| --- | --- | --- |
| 5.291 | 16.8 | 78 |
| 5.188 | 17.1 | 100 |
| 4.035 | 22.0 | 79 |
| 3.447 | 25.8 | 94 |
| 3.006 | 29.7 | 49 |
| 2.648 | 33.8 | 27 |
| 2.636 | 34.0 | 42 |
| 2.524 | 35.6 | 51 |
| 2.017 | 44.9 | 50 |
| 1.724 | 53.1 | 38 |